[1]
Starting from a structure optimized by DFT (PBE+U), the PXRD pattern of SrEuNbFeO6 was computed for a wavelength of 1.5418 Å.

The 6 most intense peaks (2θ from 10° to 90°), by intensity:
31.40°, intensity 100
55.90°, intensity 39
45.00°, intensity 33
65.53°, intensity 20
74.47°, intensity 17
38.71°, intensity 10

Structural model:
a b c (Å): 8.0580 8.0580 8.0580
angles (deg): 90.00 90.00 90.00
Space group F-43m (No. 216)
Asymmetric unit:
Sr1 0.0000 0.0000 0.0000 x4
Eu1 0.0000 0.0000 0.5000 x4
Nb1 0.2500 0.2500 0.7500 x4
Fe1 0.2500 0.2500 0.2500 x4
O1 0.0008 0.2500 0.7500 x24

[2]
Starting from a structure optimized by DFT (PBE+U), the PXRD pattern of MgMnCo2O6 was computed for a wavelength of 1.5418 Å.

The 6 most intense peaks (2θ from 10° to 90°), by intensity:
18.32°, intensity 100
40.94°, intensity 32
44.53°, intensity 24
44.36°, intensity 24
34.28°, intensity 14
62.78°, intensity 14

Structural model:
a b c (Å): 2.9684 6.0864 6.4483
angles (deg): 102.02 103.24 94.40
Space group P1 (No. 1)
Asymmetric unit:
Mg1 0.0000 0.0000 0.0000 x1
Mn1 0.0106 0.5004 0.0241 x1
Co1 0.3627 0.1987 0.6565 x1
Co2 0.6622 0.8337 0.3582 x1
O1 0.1334 0.6310 0.3418 x1
O2 0.1810 0.0355 0.3422 x1
O3 0.4810 0.7610 0.0433 x1
O4 0.5398 0.2462 0.0034 x1
O5 0.8435 0.9635 0.6598 x1
O6 0.8744 0.4131 0.7086 x1

[3]
Starting from a structure optimized by DFT (PBE+U), the PXRD pattern of Li9Mn2Co5O16 was computed for a wavelength of 1.5418 Å.

The 6 most intense peaks (2θ from 10° to 90°), by intensity:
18.33°, intensity 100
43.47°, intensity 28
43.92°, intensity 27
43.79°, intensity 26
63.20°, intensity 14
35.99°, intensity 13

Structural model:
a b c (Å): 5.8164 6.5659 7.7554
angles (deg): 89.15 79.82 77.00
Space group P-1 (No. 2)
Asymmetric unit:
Li1 0.0000 0.0000 0.0000 x1
Li2 0.1211 0.8806 0.6267 x2
Li3 0.1328 0.3621 0.1134 x2
Li4 0.3698 0.6341 0.8820 x2
Li5 0.3749 0.1206 0.3707 x2
Mn1 0.0000 0.5000 0.5000 x1
Mn2 0.5000 0.5000 0.5000 x1
Co1 0.2444 0.7595 0.2364 x2
Co2 0.2500 0.2314 0.7610 x2
Co3 0.5000 0.0000 0.0000 x1
O1 0.0534 0.2093 0.5646 x2
O2 0.0661 0.6802 0.0788 x2
O3 0.1968 0.5470 0.6680 x2
O4 0.2091 0.0514 0.1786 x2
O5 0.3057 0.4427 0.3368 x2
O6 0.3177 0.9542 0.8167 x2
O7 0.4396 0.7877 0.4292 x2
O8 0.4451 0.2947 0.9382 x2

[4]
Starting from a structure optimized by DFT (PBE+U), the PXRD pattern of Mn3O2F4 was computed for a wavelength of 1.5418 Å.

The 6 most intense peaks (2θ from 10° to 90°), by intensity:
24.70°, intensity 100
27.60°, intensity 81
34.20°, intensity 45
33.78°, intensity 42
49.90°, intensity 34
49.59°, intensity 33

Structural model:
a b c (Å): 9.1104 7.2096 7.1432
angles (deg): 90.00 110.01 90.00
Space group C2/m (No. 12)
Asymmetric unit:
Mn1 0.0000 0.0000 0.0000 x2
Mn2 0.0000 0.0000 0.5000 x2
Mn3 0.1506 0.5000 0.1705 x4
Mn4 0.1672 0.5000 0.6639 x4
O1 0.0707 0.5000 0.8727 x4
O2 0.2411 0.0000 0.5393 x4
F1 0.0000 0.3074 0.5000 x4
F2 0.1212 0.0000 0.8052 x4
F3 0.1692 0.1910 0.1731 x8

[5]
Starting from a structure optimized by DFT (PBE+U), the PXRD pattern of KLiNd2Mo4O16 was computed for a wavelength of 1.5418 Å.

The 6 most intense peaks (2θ from 10° to 90°), by intensity:
27.91°, intensity 100
29.48°, intensity 75
26.28°, intensity 69
26.86°, intensity 66
33.20°, intensity 60
25.99°, intensity 54

Structural model:
a b c (Å): 5.4077 13.0548 19.9222
angles (deg): 90.00 93.40 90.00
Space group C2/c (No. 15)
Asymmetric unit:
K1 0.0000 0.0321 0.2500 x4
Li1 0.0000 0.3103 0.2500 x4
Nd1 0.0006 0.1468 0.4665 x8
Mo1 0.0134 0.2552 0.6491 x8
Mo2 0.0153 0.4377 0.0925 x8
O1 0.0983 0.4060 0.3291 x8
O2 0.1187 0.1381 0.8274 x8
O3 0.1532 0.3336 0.0430 x8
O4 0.1710 0.2393 0.5685 x8
O5 0.2225 0.4556 0.6013 x8
O6 0.2330 0.2946 0.7136 x8
O7 0.2403 0.3450 0.8660 x8
O8 0.2411 0.0200 0.5401 x8

[6]
Starting from a structure optimized by DFT (PBE+U), the PXRD pattern of LiFeO3 was computed for a wavelength of 1.5418 Å.

The 6 most intense peaks (2θ from 10° to 90°), by intensity:
18.70°, intensity 100
16.58°, intensity 39
41.08°, intensity 25
45.70°, intensity 24
42.63°, intensity 24
34.24°, intensity 21

Structural model:
a b c (Å): 11.2275 2.9111 6.1947
angles (deg): 90.00 107.70 90.00
Space group C2/m (No. 12)
Asymmetric unit:
Li1 0.1114 0.0000 0.3208 x4
Fe1 0.1736 0.5000 0.8041 x4
O1 0.0036 0.5000 0.6204 x4
O2 0.1510 0.0000 0.0005 x4
O3 0.2141 0.0000 0.6460 x4

[7]
Starting from a structure optimized by DFT (PBE+U), the PXRD pattern of BaEuV4O12 was computed for a wavelength of 1.5418 Å.

The 6 most intense peaks (2θ from 10° to 90°), by intensity:
20.30°, intensity 100
33.45°, intensity 94
39.44°, intensity 55
48.03°, intensity 41
59.79°, intensity 35
52.65°, intensity 24

Structural model:
a b c (Å): 5.3568 5.3568 7.5808
angles (deg): 90.00 90.00 90.00
Space group P4/mmm (No. 123)
Asymmetric unit:
Ba1 0.0000 0.0000 0.0000 x1
Eu1 0.5000 0.5000 0.5000 x1
V1 0.0000 0.5000 0.2501 x4
O1 0.0000 0.5000 0.0000 x2
O2 0.0000 0.5000 0.5000 x2
O3 0.2559 0.2559 0.2568 x8

[8]
Starting from a structure optimized by DFT (PBE+U), the PXRD pattern of KLaEuWO6 was computed for a wavelength of 1.5418 Å.

The 6 most intense peaks (2θ from 10° to 90°), by intensity:
29.46°, intensity 100
29.59°, intensity 48
52.35°, intensity 22
52.50°, intensity 21
52.19°, intensity 21
41.97°, intensity 14

Structural model:
a b c (Å): 8.5150 8.5611 8.6113
angles (deg): 90.00 90.00 90.00
Space group Pnnn (No. 48, origin choice 2)
Asymmetric unit:
K1 0.2500 0.2500 0.2500 x2
K2 0.2500 0.7500 0.7500 x2
La1 0.2500 0.2500 0.7500 x2
La2 0.2500 0.7500 0.2500 x2
Eu1 0.0000 0.0000 0.0000 x4
W1 0.0000 0.0000 0.5000 x4
O1 0.0367 0.0548 0.7262 x8
O2 0.0391 0.7240 0.9801 x8
O3 0.2242 0.0272 0.4604 x8

[9]
Starting from a structure optimized by DFT (PBE+U), the PXRD pattern of Li4Ti3Ni2Sn3O16 was computed for a wavelength of 1.5418 Å.

The 6 most intense peaks (2θ from 10° to 90°), by intensity:
18.20°, intensity 100
35.21°, intensity 81
19.14°, intensity 79
34.75°, intensity 45
19.06°, intensity 42
44.30°, intensity 41

Structural model:
a b c (Å): 10.5979 6.0884 9.7497
angles (deg): 90.00 90.49 90.00
Space group Cm (No. 8)
Asymmetric unit:
Li1 0.0000 0.0000 0.0000 x2
Li2 0.0016 0.0000 0.4945 x2
Li3 0.1585 0.5000 0.8876 x2
Li4 0.3249 0.0000 0.3827 x2
Ti1 0.0777 0.2538 0.2130 x4
Ti2 0.1624 0.0000 0.7132 x2
Ni1 0.1578 0.5000 0.4853 x2
Ni2 0.3244 0.0000 0.9892 x2
Sn1 0.3234 0.5000 0.2119 x2
Sn2 0.4080 0.2467 0.7126 x4
O1 0.0000 0.0000 0.3122 x2
O2 0.0132 0.5000 0.3260 x2
O3 0.0785 0.2351 0.6026 x4
O4 0.1501 0.5000 0.0994 x2
O5 0.1530 0.0000 0.1093 x2
O6 0.2290 0.2732 0.3328 x4
O7 0.2464 0.2187 0.8338 x4
O8 0.3189 0.0000 0.5946 x2
O9 0.3358 0.5000 0.5933 x2
O10 0.4186 0.2582 0.1015 x4
O11 0.4755 0.0000 0.8390 x2
O12 0.4993 0.5000 0.8173 x2

[10]
Starting from a structure optimized by DFT (PBE+U), the PXRD pattern of Ba3W2O9 was computed for a wavelength of 1.5418 Å.

The 6 most intense peaks (2θ from 10° to 90°), by intensity:
30.00°, intensity 100
25.41°, intensity 56
39.71°, intensity 40
17.19°, intensity 31
41.67°, intensity 30
26.81°, intensity 26

Structural model:
a b c (Å): 10.3177 10.3177 14.3314
angles (deg): 90.00 90.00 120.00
Space group R-3c (No. 167, hexagonal axes)
Asymmetric unit:
Ba1 0.0000 0.3299 0.2500 x18
W1 0.0000 0.0000 0.1465 x12
O1 0.0000 0.1449 0.7500 x18
O2 0.0022 0.1631 0.4096 x36